No. 1
Starting from a PBE+U-relaxed structure, the powder XRD pattern of Mn2IO6 was calculated for Cu Ka.
Neutral-atom scattering factors, no anomalous dispersion.

Cell and atoms:
abc: 5.0317 5.2575 8.6632
angles: 90.00 90.00 90.00
Space group Pnnm (No. 58)
Symmetry-distinct sites (fractional):
Mn  0.0000  0.0000  0.1952 x4
I  0.0000  0.5000  0.0000 x2
O  0.2018  0.1991  0.0000 x4
O  0.2097  0.6607  0.1591 x8

Top 8 peaks for 2θ = 15–90°, low angle first:
(0 1 1), 19.8°, d 4.495, rel. 28; (1 0 1), 20.4°, d 4.351, rel. 100; (1 1 2), 32.1°, d 2.785, rel. 76; (0 1 3), 35.5°, d 2.531, rel. 21; (1 2 1), 40.1°, d 2.250, rel. 23; (2 2 0), 50.2°, d 1.818, rel. 19; (2 1 3), 51.2°, d 1.784, rel. 30; (0 3 3), 61.9°, d 1.499, rel. 24

No. 2
Starting from a PBE+U-relaxed structure, the powder XRD pattern of MnI2O6 was calculated for Cu Ka.
Neutral-atom scattering factors, no anomalous dispersion.

Cell and atoms:
abc: 5.5137 5.8322 17.3283
angles: 90.00 90.00 90.00
Space group P2_12_12_1 (No. 19)
Symmetry-distinct sites (fractional):
Mn  0.2077  0.1707  0.0923 x4
I  0.0314  0.8587  0.9233 x4
I  0.2455  0.7249  0.2934 x4
O  0.0220  0.0353  0.2028 x4
O  0.0373  0.4684  0.8424 x4
O  0.0573  0.6082  0.5164 x4
O  0.1061  0.4935  0.6644 x4
O  0.1252  0.8835  0.3787 x4
O  0.2324  0.1766  0.5480 x4

Top 8 peaks for 2θ = 15–90°, low angle first:
(0 1 3), 21.7°, d 4.104, rel. 55; (1 0 3), 22.3°, d 3.988, rel. 49; (1 1 1), 22.8°, d 3.904, rel. 100; (1 1 2), 24.5°, d 3.637, rel. 62; (1 0 4), 26.2°, d 3.406, rel. 42; (1 1 3), 27.1°, d 3.292, rel. 73; (1 1 4), 30.4°, d 2.940, rel. 36; (2 1 1), 36.4°, d 2.468, rel. 38

No. 3
Starting from a PBE+U-relaxed structure, the powder XRD pattern of MnI2O6 was calculated for Cu Ka.
Neutral-atom scattering factors, no anomalous dispersion.

Cell and atoms:
abc: 5.6805 5.3776 9.6939
angles: 90.00 90.54 90.00
Space group P2_1 (No. 4)
Symmetry-distinct sites (fractional):
Mn  0.2290  0.0000  0.2451 x2
I  0.2655  0.5783  0.5654 x2
I  0.2748  0.1017  0.8979 x2
O  0.0107  0.2306  0.3830 x2
O  0.1024  0.2884  0.7734 x2
O  0.1486  0.2124  0.0602 x2
O  0.3469  0.7803  0.4200 x2
O  0.4481  0.7790  0.1001 x2
O  0.4631  0.7209  0.6947 x2

Top 8 peaks for 2θ = 15–90°, low angle first:
(1 1 -1), 24.5°, d 3.630, rel. 44; (1 1 1), 24.7°, d 3.608, rel. 100; (2 0 0), 31.5°, d 2.840, rel. 16; (1 0 -3), 31.7°, d 2.820, rel. 13; (1 0 3), 32.0°, d 2.797, rel. 15; (2 2 0), 46.5°, d 1.953, rel. 13; (1 2 -3), 46.7°, d 1.946, rel. 12; (1 2 3), 46.9°, d 1.938, rel. 14

No. 4
Starting from a PBE+U-relaxed structure, the powder XRD pattern of Mn3I3O was calculated for Cu Ka.
Neutral-atom scattering factors, no anomalous dispersion.

Cell and atoms:
abc: 7.8058 14.1173 10.6930
angles: 90.00 131.47 90.00
Space group P2_1/c (No. 14)
Symmetry-distinct sites (fractional):
Mn  0.0856  0.1011  0.1908 x4
Mn  0.3979  0.5543  0.2286 x4
Mn  0.3976  0.5952  0.9063 x4
I  0.0946  0.0879  0.8962 x4
I  0.1730  0.1318  0.5076 x4
I  0.2969  0.7210  0.4972 x4
O  0.4130  0.0497  0.3462 x4

Top 8 peaks for 2θ = 15–90°, low angle first:
(0 0 2), 22.2°, d 4.006, rel. 33; (2 0 -2), 22.9°, d 3.887, rel. 33; (1 3 0), 24.3°, d 3.667, rel. 58; (1 3 -2), 25.2°, d 3.531, rel. 100; (2 1 -3), 27.1°, d 3.285, rel. 49; (1 4 -1), 27.8°, d 3.214, rel. 49; (2 1 0), 31.2°, d 2.864, rel. 53; (0 2 3), 36.0°, d 2.498, rel. 32